Calculated powder XRD pattern
Compound: Mg2AlMoO6
Radiation: Cu Kα
Structure: a structure optimized by DFT (GGA+U)
Intensities are scaled so that the largest is 100.

Cell: 5.121 5.121 4.766 Å, 90.00 90.00 90.00°
Fractional positions:
Mg1 0.000 0.500 0.000
Mg2 0.500 0.000 0.000
Al1 0.000 0.000 0.648
Mo1 0.500 0.500 0.629
O1 0.000 0.000 0.281
O2 0.248 0.248 0.789
O3 0.248 0.752 0.789
O4 0.500 0.500 0.259
O5 0.752 0.248 0.789
O6 0.752 0.752 0.789

Peak list (10 most intense, 2θ = 5–70°, in order of rising 2θ)
(hkl)  2theta  d/Å  I (rel.)
1 0 0  17.3  5.121  43.1
0 0 1  18.6  4.766  65.9
1 1 0  24.6  3.621  47.5
1 0 1  25.5  3.489  33.6
1 1 1  31.0  2.883  100.0
2 0 0  35.0  2.561  32.0
1 1 2  45.6  1.991  32.4
2 2 0  50.4  1.811  37.4
2 0 2  52.5  1.744  23.2
3 1 1  60.4  1.533  28.7